Entry 1:
Starting from a GGA-PBE-relaxed structure, the PXRD pattern of Zr5Sb3P was calculated for CuKα.
No peak broadening, texture or thermal motion is included.

Most intense lines, 2θ = 5–70°, low angle first:
2θ (°)	d [Å]	I_rel
29.51	3.027	15
31.99	2.798	16
35.35	2.539	77
36.39	2.469	100
38.42	2.343	7
46.73	1.944	19
52.42	1.746	11
56.22	1.636	25
61.24	1.514	8
64.78	1.439	7

Cell and atoms:
```
Zr5Sb3P
1.0
8.5459 0.0000 0.0000
-4.2729 7.4009 0.0000
0.0000 0.0000 6.0542
Zr Sb P
10 6 2
Cartesian
-1.0622 1.8398 1.5135
-3.2108 5.5612 4.5406
2.1244 0.0000 1.5135
1.0622 1.8398 4.5406
0.0000 4.9340 0.0000
0.0000 4.9340 3.0271
4.2729 2.4670 0.0000
4.2729 2.4670 3.0271
6.4215 0.0000 4.5406
3.2108 5.5612 1.5135
-1.7117 2.9648 4.5406
-2.5612 4.4361 1.5135
3.4235 0.0000 4.5406
1.7117 2.9648 1.5135
5.1224 0.0000 1.5135
2.5612 4.4361 4.5406
0.0000 0.0000 0.0000
0.0000 0.0000 3.0271
```

***

Entry 2:
Starting from a GGA-PBE-relaxed structure, the PXRD pattern of ZrI4 was calculated for CuKα.
No peak broadening, texture or thermal motion is included.

Most intense lines, 2θ = 5–70°, low angle first:
2θ (°)	d [Å]	I_rel
10.15	8.712	39
11.67	7.584	61
16.44	5.391	56
22.56	3.942	43
22.64	3.928	54
24.19	3.680	62
25.26	3.526	40
25.95	3.434	36
28.49	3.133	100
29.81	2.997	69

Cell and atoms:
```
ZrI4
1.0
8.6501 0.0000 0.0000
0.3877 8.7124 0.0000
2.2733 0.1002 27.4984
Zr I
4 16
Cartesian
1.4988 3.1757 4.7692
3.6342 5.6880 1.6225
7.6769 3.1246 25.8760
9.8123 5.6368 22.7293
2.4554 3.7601 21.2530
3.1930 7.4375 23.0517
1.5418 7.4380 1.5521
1.6221 3.3754 1.8948
3.2179 1.6159 6.1768
3.8088 5.1794 4.4657
5.7046 5.4299 26.2377
5.6017 1.3594 25.7918
5.7093 7.4531 1.7066
5.6064 3.3826 1.2607
7.5023 3.6331 23.0328
8.0932 7.1967 21.3216
9.6890 5.4371 25.6036
9.7693 1.3745 25.9463
8.1181 1.3751 4.4467
8.8557 5.0525 6.2455
```

***

Entry 3:
Starting from a GGA-PBE-relaxed structure, the PXRD pattern of Na3B3H4O8 was calculated for CuKα.
No peak broadening, texture or thermal motion is included.

Most intense lines, 2θ = 5–70°, low angle first:
2θ (°)	d [Å]	I_rel
17.66	5.021	93
19.07	4.654	43
27.12	3.288	55
28.45	3.137	83
28.85	3.095	40
30.78	2.905	100
32.68	2.740	94
35.34	2.540	44
37.28	2.412	64
48.81	1.866	52

Cell and atoms:
```
Na3B3H4O8
1.0
6.4592 -3.8875 0.0000
6.4592 3.8875 0.0000
-1.0354 0.0000 7.0272
Na B H O
6 6 8 16
Cartesian
5.9415 3.7591 3.5136
5.1656 0.7274 0.5392
4.6479 -0.7274 4.0528
7.9906 0.7150 3.3075
7.4729 -0.7150 6.8211
6.4592 -3.7591 0.0000
3.5061 2.1747 2.6058
1.8782 0.0990 5.7016
2.3959 -0.0990 2.1880
6.9270 1.8477 5.7055
2.9884 -2.1747 6.1194
7.4447 -1.8477 2.1919
3.1129 2.1351 4.6747
5.2119 1.7296 4.5164
7.8022 1.9345 0.7484
3.6306 -2.1351 1.1611
5.7296 -1.7296 1.0028
10.3048 0.3355 4.8562
7.2845 -1.9345 4.2620
10.8225 -0.3355 1.3426
3.7937 2.5580 4.0465
1.9541 1.4412 5.6146
4.6425 2.7130 1.7959
1.1722 0.5617 1.9799
0.6546 -0.5617 5.4935
3.5327 0.6807 2.4923
6.2001 1.6565 6.9996
6.0973 1.2803 4.6211
3.0151 -0.6807 6.0059
2.4718 -1.4412 2.1010
8.2023 1.1413 5.6434
4.3113 -2.5581 0.5329
6.6149 -1.2803 1.1075
4.1248 -2.7130 5.3095
6.7178 -1.6565 3.4860
8.7200 -1.1413 2.1298
```

***

Entry 4:
Starting from a GGA-PBE-relaxed structure, the PXRD pattern of CeSmO2 was calculated for CuKα.
No peak broadening, texture or thermal motion is included.

Most intense lines, 2θ = 5–70°, low angle first:
2θ (°)	d [Å]	I_rel
30.98	2.887	31
31.20	2.867	92
36.12	2.487	100
51.86	1.763	35
52.14	1.754	34
61.64	1.505	14
61.90	1.499	28
62.03	1.496	14
64.57	1.443	6
65.07	1.433	17

Cell and atoms:
```
CeSmO2
1.0
1.7541 1.0127 5.7731
-1.7541 1.0127 5.7731
0.0000 -2.0255 5.7731
Ce Sm O
1 1 2
Cartesian
0.0000 0.0000 0.0000
0.0000 0.0000 8.6597
0.0000 0.0000 4.2910
0.0000 0.0000 13.0284
```

***

Entry 5:
Starting from a GGA-PBE-relaxed structure, the PXRD pattern of Sr2MgCuCl2O2 was calculated for CuKα.
No peak broadening, texture or thermal motion is included.

Most intense lines, 2θ = 5–70°, low angle first:
2θ (°)	d [Å]	I_rel
7.36	12.006	100
29.35	3.043	8
32.19	2.781	13
33.07	2.709	10
34.70	2.585	29
40.87	2.208	10
46.17	1.966	9
46.82	1.940	4
59.02	1.565	12
63.34	1.468	5

Cell and atoms:
```
Sr2MgCuCl2O2
1.0
-1.9663 1.9663 12.0064
1.9663 -1.9663 12.0064
1.9663 1.9663 -12.0064
Sr Mg Cu Cl O
2 1 1 2 2
Cartesian
0.0000 0.0000 1.6720
0.0000 0.0000 22.3409
1.9663 0.0000 6.0032
0.0000 0.0000 12.0064
0.0000 0.0000 8.9092
0.0000 0.0000 15.1037
1.9663 0.0000 0.0019
1.9663 0.0000 12.0045
```

***

Entry 6:
Starting from a GGA-PBE-relaxed structure, the PXRD pattern of Sm2ReC2 was calculated for CuKα.
No peak broadening, texture or thermal motion is included.

Most intense lines, 2θ = 5–70°, low angle first:
2θ (°)	d [Å]	I_rel
31.60	2.832	65
31.74	2.819	24
32.20	2.780	23
32.99	2.715	100
33.97	2.639	68
34.41	2.606	60
58.04	1.589	17
59.34	1.557	19
60.17	1.538	18
61.09	1.517	19

Cell and atoms:
```
Sm2ReC2
1.0
6.6698 0.0000 0.0000
0.0000 5.2780 0.0000
0.0000 0.0000 10.0662
Sm Re C
8 4 8
Cartesian
0.1811 1.3195 2.1634
1.2412 1.3195 5.5608
2.0937 3.9585 0.5277
3.1538 3.9585 7.1965
3.5160 1.3195 2.8697
4.5761 1.3195 9.5385
5.4286 3.9585 4.5054
6.4886 3.9585 7.9028
1.5173 1.3195 8.6688
1.8176 3.9585 3.6356
4.8521 1.3195 6.4306
5.1525 3.9585 1.3975
0.2531 3.9585 2.4326
1.2206 3.9585 5.4643
2.1143 1.3195 0.4312
3.0818 1.3195 7.4658
3.5880 3.9585 2.6005
4.5555 3.9585 9.6350
5.4491 1.3195 4.6019
6.4167 1.3195 7.6336
```

***

Entry 7:
Starting from a GGA-PBE-relaxed structure, the PXRD pattern of Ce3Pb was calculated for CuKα.
No peak broadening, texture or thermal motion is included.

Most intense lines, 2θ = 5–70°, low angle first:
2θ (°)	d [Å]	I_rel
18.31	4.846	3
26.00	3.427	3
31.99	2.798	100
37.10	2.423	50
41.67	2.167	2
45.87	1.978	1
53.48	1.713	35
57.01	1.615	1
63.69	1.461	42
66.88	1.399	12

Cell and atoms:
```
Ce3Pb
1.0
4.8463 0.0000 0.0000
0.0000 4.8463 0.0000
0.0000 0.0000 4.8463
Ce Pb
3 1
Cartesian
0.0000 0.0000 2.4231
0.0000 2.4231 0.0000
2.4231 0.0000 0.0000
2.4231 2.4231 2.4231
```

***

Entry 8:
Starting from a GGA-PBE-relaxed structure, the PXRD pattern of PrAu was calculated for CuKα.
No peak broadening, texture or thermal motion is included.

Most intense lines, 2θ = 5–70°, low angle first:
2θ (°)	d [Å]	I_rel
30.31	2.949	100
31.24	2.863	31
36.45	2.465	32
37.11	2.423	39
37.73	2.384	94
46.20	1.965	21
49.27	1.849	17
60.23	1.537	15
60.68	1.526	19
67.31	1.391	18

Cell and atoms:
```
PrAu
1.0
1.9650 -5.7268 0.0000
1.9650 5.7268 0.0000
0.0000 0.0000 4.8451
Pr Au
2 2
Cartesian
1.9650 4.1470 3.6338
1.9650 -4.1470 1.2113
1.9650 0.9760 3.6338
1.9650 -0.9760 1.2113
```

***

- What is the formula in the seventh record?
  Ce3Pb

***

- What is the formula in the fourth record?
  CeSmO2